For CrFe2GeC, DFT lattice parameters and positions (PBE) gives the simulated powder XRD pattern in this record (λ = 1.5418 Å (Cu Kα)).
Kinematic intensities with the Lorentz-polarization factor, no thermal factor.

Peak list (8 most intense, 10° ≤ 2θ ≤ 80°, sorted by position)
| 2theta | I/Imax | (hkl) |
| --- | --- | --- |
| 33.25 | 3 | 1 0 1 |
| 33.63 | 1 | 1 1 0 |
| 41.18 | 100 | 1 1 1 |
| 47.16 | 19 | 0 0 2 |
| 48.30 | 36 | 2 0 0 |
| 59.90 | 1 | 2 1 1 |
| 69.80 | 22 | 2 0 2 |
| 70.70 | 10 | 2 2 0 |

Structural model:
Unit cell a=3.7688 b=3.7688 c=3.8546 alpha=90.00 beta=90.00 gamma=90.00
Space group P4/mmm (No. 123)
Inequivalent atoms, fractional coordinates:
Cr 0.0000 0.0000 0.0000
Fe 0.0000 0.5000 0.5000
Ge 0.5000 0.5000 0.0000
C 0.0000 0.0000 0.5000

***

For HoCrFeC2, DFT lattice parameters and positions (PBE) gives the simulated powder XRD pattern in this record (λ = 1.5418 Å (Cu Kα)).
Kinematic intensities with the Lorentz-polarization factor, no thermal factor.

Peak list (10 most intense, 10° ≤ 2θ ≤ 80°, sorted by position)
| 2theta | I/Imax | (hkl) |
| --- | --- | --- |
| 27.02 | 96 | 1 0 1 |
| 37.62 | 31 | 0 0 4 |
| 38.11 | 58 | 1 0 3 |
| 40.92 | 100 | 1 1 2 |
| 52.03 | 29 | 2 0 0 |
| 54.63 | 15 | 1 0 5 |
| 59.59 | 22 | 2 1 1 |
| 65.96 | 23 | 2 0 4 |
| 66.29 | 22 | 2 1 3 |
| 70.14 | 23 | 1 1 6 |

Structural model:
Unit cell a=3.5155 b=3.5155 c=9.5632 alpha=90.00 beta=90.00 gamma=90.00
Space group I-4m2 (No. 119)
Inequivalent atoms, fractional coordinates:
Ho 0.0000 0.0000 0.0000
Cr 0.0000 0.5000 0.2500
Fe 0.0000 0.5000 0.7500
C 0.0000 0.0000 0.3397

***

Question: Which formula does entry 2 have?
Answer: HoCrFeC2